Starting from a DFT-relaxed cell (GGA+U, Alexandria), the powder diffraction line list of AcNbFe2O6 was calculated for λ = 1.5418 Å (Cu Kα).
Lines closer than 0.1° are merged.

Structural model:
```
AcNbFe2O6
1.0
5.553 0.000 0.000
-2.774 4.856 0.000
-0.040 -3.144 4.932
Ac Nb Fe O
1 1 2 6
direct
0.000 0.000 0.000 Ac
0.521 0.049 0.565 Nb
0.228 0.456 0.672 Fe
0.736 0.470 0.187 Fe
0.139 0.621 0.397 O
0.395 0.317 0.873 O
0.451 0.261 0.403 O
0.559 0.949 0.861 O
0.786 0.943 0.396 O
0.923 0.481 0.852 O
```

Most intense lines, 15 to 90 degrees two-theta, low angle first:
| h k l | d [Å] | 2θ (°) | I/Imax |
| --- | --- | --- | --- |
| 1 -1 0 | 4.593 | 19.3 | 38 |
| 0 1 0 | 4.094 | 21.7 | 34 |
| 1 0 -1 | 4.034 | 22.0 | 36 |
| 1 -1 1 | 4.008 | 22.2 | 35 |
| -1 1 1 | 2.957 | 30.2 | 57 |
| 1 0 1 | 2.938 | 30.4 | 56 |
| 0 1 -2 | 2.916 | 30.7 | 55 |
| 1 -2 1 | 2.796 | 32.0 | 100 |
| 2 -1 0 | 2.776 | 32.2 | 47 |
| 0 2 0 | 2.047 | 44.2 | 23 |